1.
# Lu2NbIr
Simulated X-ray powder pattern, Cu Kα (λ = 1.5418 Å). Input: a structure optimized by DFT (GGA-PBE).
Lines closer than 0.1° are merged.

Atomic structure:
Cell: 4.8114 4.8114 4.8114 Å, 60.00 60.00 60.00°
Atoms (fractional coordinates):
Lu: 0.0000 0.0000 0.0000
Lu: 0.2500 0.2500 0.2500
Nb: 0.5000 0.5000 0.5000
Ir: 0.7500 0.7500 0.7500

Main lines, low angle first (2θ = 10–90°):
2θ (°)  I (rel.)
22.63  4
26.19  3
37.38  100
44.14  2
46.22  1
53.90  18
59.19  1
60.89  1
67.43  36
72.13  1
79.72  11
84.18  1

=====

2.
# Lu2Ir2O5
Simulated X-ray powder pattern, Cu Kα (λ = 1.5418 Å). Input: a structure optimized by DFT (GGA-PBE).
Lines closer than 0.1° are merged.

Atomic structure:
Cell: 3.8805 3.8805 6.9454 Å, 90.00 90.00 90.00°
Atoms (fractional coordinates):
Lu: 0.0000 0.0000 0.0000
Lu: 0.0000 0.0000 0.5000
Ir: 0.5000 0.5000 0.1915
Ir: 0.5000 0.5000 0.8085
O: 0.0000 0.5000 0.2538
O: 0.0000 0.5000 0.7462
O: 0.5000 0.0000 0.2538
O: 0.5000 0.0000 0.7462
O: 0.5000 0.5000 0.5000

Main lines, low angle first (2θ = 10–90°):
2θ (°)  I (rel.)
12.75  9
26.31  8
32.63  71
34.66  100
45.63  16
46.82  37
51.66  11
59.55  43
67.44  11
68.38  12
77.83  17
78.99  10

=====

3.
# Lu2ZnIrO6
Simulated X-ray powder pattern, Cu Kα (λ = 1.5418 Å). Input: a structure optimized by DFT (GGA-PBE).
Lines closer than 0.1° are merged.

Atomic structure:
Cell: 5.2089 5.6441 9.2008 Å, 90.00 124.37 90.00°
Atoms (fractional coordinates):
Lu: 0.2181 0.0811 0.2475
Lu: 0.2181 0.4189 0.7475
Lu: 0.7819 0.5811 0.2525
Lu: 0.7819 0.9189 0.7525
Zn: 0.0000 0.0000 0.5000
Zn: 0.0000 0.5000 0.0000
Ir: 0.5000 0.0000 0.0000
Ir: 0.5000 0.5000 0.5000
O: 0.1153 0.1882 0.9339
O: 0.1153 0.3118 0.4339
O: 0.2531 0.6941 0.9287
O: 0.2531 0.8059 0.4287
O: 0.3965 0.0566 0.7552
O: 0.3965 0.4434 0.2552
O: 0.6035 0.5566 0.7448
O: 0.6035 0.9434 0.2448
O: 0.7469 0.1941 0.5713
O: 0.7469 0.3059 0.0713
O: 0.8847 0.6882 0.5661
O: 0.8847 0.8118 0.0661

Main lines, low angle first (2θ = 10–90°):
2θ (°)  I (rel.)
19.60  10
20.69  10
26.07  17
31.71  17
33.23  100
33.89  11
34.44  23
47.51  13
47.91  13
49.09  10
53.11  9
60.92  19